(1)
The following is a simulated PXRD pattern of Na5LuH4C4O14. It was derived from the PBE geometry in the Materials Project, using Cu Kα, 1.54184 Å.
Neutral-atom scattering factors, no anomalous dispersion.

Structural model:
Cell lengths 7.6456, 7.6456, 11.6700 Å; angles 90.00, 90.00, 90.00 degrees
Space group P-42_1c (No. 114)
Inequivalent atoms, fractional coordinates:
Na: 0.0000 0.0000 0.0000 (multiplicity 2)
Na: 0.1762 0.3187 0.7922 (multiplicity 8)
Lu: 0.0000 0.0000 0.5000 (multiplicity 2)
H: 0.0652 0.5790 0.6170 (multiplicity 8)
C: 0.1801 0.7158 0.4219 (multiplicity 8)
O: 0.0000 0.5000 0.1692 (multiplicity 4)
O: 0.0922 0.7727 0.8824 (multiplicity 8)
O: 0.0935 0.8235 0.3543 (multiplicity 8)
O: 0.1644 0.7489 0.5329 (multiplicity 8)

Main lines, sorted by position (10 to 80 degrees two-theta):
hkl 1 0 1, 2θ 13.85, I 100; hkl 1 1 0, 2θ 16.40, I 32; hkl 1 1 2, 2θ 22.42, I 58; hkl 2 1 1, 2θ 27.18, I 26; hkl 2 1 2, 2θ 30.30, I 22; hkl 1 1 4, 2θ 34.94, I 25; hkl 3 1 2, 2θ 40.39, I 26; hkl 3 1 4, 2θ 48.92, I 29


(2)
The following is a simulated PXRD pattern of MgH8C4N6O4. It was derived from the PBE geometry in the Materials Project, using Cu Kα, 1.54184 Å.
Neutral-atom scattering factors, no anomalous dispersion.

Structural model:
Cell lengths 7.4849, 7.3676, 9.8170 Å; angles 90.00, 99.18, 90.00 degrees
Space group P2_1/c (No. 14)
Inequivalent atoms, fractional coordinates:
Mg: 0.0000 0.0000 0.0000 (multiplicity 2)
H: 0.0140 0.2439 0.7887 (multiplicity 4)
H: 0.1494 0.1892 0.4226 (multiplicity 4)
H: 0.1686 0.6920 0.9243 (multiplicity 4)
H: 0.2341 0.6404 0.3456 (multiplicity 4)
C: 0.3523 0.5228 0.1284 (multiplicity 4)
C: 0.4030 0.0382 0.1938 (multiplicity 4)
N: 0.2544 0.0268 0.1340 (multiplicity 4)
N: 0.2650 0.0004 0.5183 (multiplicity 4)
N: 0.4274 0.5570 0.2538 (multiplicity 4)
O: 0.0803 0.2049 0.8794 (multiplicity 4)
O: 0.1249 0.6930 0.3755 (multiplicity 4)

Main lines, sorted by position (10 to 80 degrees two-theta):
hkl 1 1 -1, 2θ 18.38, I 26; hkl 1 0 -2, 2θ 20.24, I 83; hkl 0 2 0, 2θ 24.16, I 33; hkl 0 2 1, 2θ 25.87, I 18; hkl 1 2 0, 2θ 27.05, I 44; hkl 2 1 -1, 2θ 27.26, I 17; hkl 2 0 -2, 2θ 27.94, I 64; hkl 1 2 -2, 2θ 31.72, I 100